# Ba3HoRu2O9
Simulated PXRD pattern, Cu Kα (λ = 1.5418 Å). Input: the PBE geometry in Alexandria.

Most intense lines, 10° ≤ 2θ ≤ 90°, by angle:
2θ = 25.20°, I 12; 2θ = 30.04°, I 100; 2θ = 43.01°, I 23; 2θ = 47.10°, I 10; 2θ = 53.34°, I 32; 2θ = 62.44°, I 15; 2θ = 70.83°, I 11; 2θ = 86.59°, I 18

Structure:
Cell: 5.951 5.951 14.562 Å, 90.00 90.00 120.00°
Fractional coordinates of all 30 atoms:
Ba  0.000  0.000  0.250
Ba  0.000  0.000  0.750
Ba  0.333  0.667  0.094
Ba  0.333  0.667  0.406
Ba  0.667  0.333  0.594
Ba  0.667  0.333  0.906
Ho  0.000  0.000  0.000
Ho  0.000  0.000  0.500
Ru  0.333  0.667  0.664
Ru  0.333  0.667  0.836
Ru  0.667  0.333  0.164
Ru  0.667  0.333  0.336
O  0.019  0.510  0.750
O  0.176  0.352  0.588
O  0.176  0.352  0.912
O  0.176  0.824  0.588
O  0.176  0.824  0.912
O  0.352  0.176  0.088
O  0.352  0.176  0.412
O  0.490  0.510  0.750
O  0.490  0.981  0.750
O  0.510  0.019  0.250
O  0.510  0.490  0.250
O  0.648  0.824  0.588
O  0.648  0.824  0.912
O  0.824  0.176  0.088
O  0.824  0.176  0.412
O  0.824  0.648  0.088
O  0.824  0.648  0.412
O  0.981  0.490  0.250

=====

# PmDyCl6
Simulated PXRD pattern, Cu Kα (λ = 1.5418 Å). Input: the PBE geometry in Alexandria.

Most intense lines, 10° ≤ 2θ ≤ 90°, by angle:
2θ = 17.79°, I 100; 2θ = 24.35°, I 38; 2θ = 29.90°, I 19; 2θ = 36.03°, I 19; 2θ = 39.26°, I 44; 2θ = 41.61°, I 20; 2θ = 46.12°, I 20; 2θ = 57.14°, I 19

Structure:
Cell: 7.349 7.349 7.349 Å, 55.27 55.27 55.27°
Fractional coordinates of all 8 atoms:
Pm  0.000  0.000  0.000
Dy  0.500  0.500  0.500
Cl  0.108  0.401  0.745
Cl  0.255  0.892  0.599
Cl  0.401  0.745  0.108
Cl  0.599  0.255  0.892
Cl  0.745  0.108  0.401
Cl  0.892  0.599  0.255

=====

# Ac2Ga12Ag
Simulated PXRD pattern, Cu Kα (λ = 1.5418 Å). Input: the PBE geometry in Alexandria.

Most intense lines, 10° ≤ 2θ ≤ 90°, by angle:
2θ = 19.59°, I 14; 2θ = 30.15°, I 100; 2θ = 36.22°, I 25; 2θ = 39.80°, I 58; 2θ = 40.25°, I 11; 2θ = 50.74°, I 34; 2θ = 57.54°, I 17; 2θ = 66.35°, I 25

Structure:
Cell: 6.409 6.409 15.664 Å, 90.00 90.00 90.00°
Fractional coordinates of all 30 atoms:
Ac  0.250  0.750  0.247
Ac  0.250  0.750  0.753
Ac  0.750  0.250  0.247
Ac  0.750  0.250  0.753
Ga  0.000  0.000  0.089
Ga  0.000  0.000  0.911
Ga  0.000  0.500  0.089
Ga  0.000  0.500  0.911
Ga  0.072  0.572  0.431
Ga  0.072  0.928  0.569
Ga  0.250  0.250  0.180
Ga  0.250  0.250  0.344
Ga  0.250  0.250  0.656
Ga  0.250  0.250  0.820
Ga  0.428  0.572  0.569
Ga  0.428  0.928  0.431
Ga  0.500  0.000  0.089
Ga  0.500  0.000  0.911
Ga  0.500  0.500  0.089
Ga  0.500  0.500  0.911
Ga  0.572  0.072  0.569
Ga  0.572  0.428  0.431
Ga  0.750  0.750  0.180
Ga  0.750  0.750  0.344
Ga  0.750  0.750  0.656
Ga  0.750  0.750  0.820
Ga  0.928  0.072  0.431
Ga  0.928  0.428  0.569
Ag  0.250  0.750  0.000
Ag  0.750  0.250  0.000

=====

# Ba2PaHgS5
Simulated PXRD pattern, Cu Kα (λ = 1.5418 Å). Input: the PBE geometry in Alexandria.

Most intense lines, 10° ≤ 2θ ≤ 90°, by angle:
2θ = 13.63°, I 19; 2θ = 22.71°, I 34; 2θ = 23.76°, I 22; 2θ = 25.78°, I 57; 2θ = 26.70°, I 31; 2θ = 30.06°, I 100; 2θ = 35.33°, I 30; 2θ = 53.51°, I 18

Structure:
Cell: 9.403 9.403 12.994 Å, 90.00 90.00 154.26°
Fractional coordinates of all 18 atoms:
Ba  0.113  0.887  0.500
Ba  0.128  0.872  0.124
Ba  0.872  0.128  0.624
Ba  0.887  0.113  0.000
Pa  0.207  0.793  0.825
Pa  0.793  0.207  0.325
Hg  0.459  0.541  0.261
Hg  0.541  0.459  0.761
S  0.059  0.941  0.872
S  0.288  0.712  0.463
S  0.304  0.696  0.185
S  0.351  0.649  0.816
S  0.497  0.503  0.583
S  0.503  0.497  0.083
S  0.649  0.351  0.316
S  0.696  0.304  0.685
S  0.712  0.288  0.963
S  0.941  0.059  0.372

=====

# Pm3Nd3Pt2
Simulated PXRD pattern, Cu Kα (λ = 1.5418 Å). Input: the PBE geometry in Alexandria.

Most intense lines, 10° ≤ 2θ ≤ 90°, by angle:
2θ = 13.04°, I 44; 2θ = 28.46°, I 29; 2θ = 30.23°, I 78; 2θ = 33.51°, I 86; 2θ = 33.73°, I 100; 2θ = 35.62°, I 73; 2θ = 46.52°, I 34; 2θ = 59.93°, I 33

Structure:
Cell: 7.064 7.064 18.820 Å, 90.00 90.00 147.91°
Fractional coordinates of all 16 atoms:
Pm  0.066  0.934  0.750
Pm  0.169  0.831  0.057
Pm  0.169  0.831  0.443
Pm  0.831  0.169  0.557
Pm  0.831  0.169  0.943
Pm  0.934  0.066  0.250
Nd  0.207  0.793  0.250
Nd  0.444  0.556  0.090
Nd  0.444  0.556  0.410
Nd  0.556  0.444  0.590
Nd  0.556  0.444  0.910
Nd  0.793  0.207  0.750
Pt  0.211  0.789  0.635
Pt  0.211  0.789  0.865
Pt  0.789  0.211  0.135
Pt  0.789  0.211  0.365

=====

# Sc3PbN
Simulated PXRD pattern, Cu Kα (λ = 1.5418 Å). Input: the PBE geometry in Alexandria.

Most intense lines, 10° ≤ 2θ ≤ 90°, by angle:
2θ = 12.82°, I 27; 2θ = 24.68°, I 56; 2θ = 25.80°, I 100; 2θ = 32.63°, I 70; 2θ = 39.12°, I 47; 2θ = 42.76°, I 55; 2θ = 44.82°, I 22; 2θ = 50.61°, I 48

Structure:
Cell: 8.460 8.460 8.460 Å, 60.00 60.00 60.00°
Fractional coordinates of all 20 atoms:
Sc  0.060  0.060  0.690
Sc  0.060  0.690  0.060
Sc  0.060  0.690  0.690
Sc  0.310  0.310  0.940
Sc  0.310  0.940  0.310
Sc  0.310  0.940  0.940
Sc  0.690  0.060  0.060
Sc  0.690  0.060  0.690
Sc  0.690  0.690  0.060
Sc  0.940  0.310  0.310
Sc  0.940  0.310  0.940
Sc  0.940  0.940  0.310
Pb  0.000  0.500  0.500
Pb  0.500  0.000  0.500
Pb  0.500  0.500  0.000
Pb  0.500  0.500  0.500
N  0.000  0.000  0.000
N  0.000  0.000  0.500
N  0.000  0.500  0.000
N  0.500  0.000  0.000

=====

# CeGdGaCo
Simulated PXRD pattern, Cu Kα (λ = 1.5418 Å). Input: the PBE geometry in Alexandria.

Most intense lines, 10° ≤ 2θ ≤ 90°, by angle:
2θ = 25.29°, I 17; 2θ = 36.06°, I 100; 2θ = 44.56°, I 5; 2θ = 51.92°, I 17; 2θ = 58.61°, I 7; 2θ = 64.85°, I 35; 2θ = 76.50°, I 11; 2θ = 87.61°, I 16

Structure:
Cell: 4.981 4.981 4.981 Å, 60.00 60.00 60.00°
Fractional coordinates of all 4 atoms:
Ce  0.000  0.000  0.000
Gd  0.500  0.500  0.500
Ga  0.750  0.750  0.750
Co  0.250  0.250  0.250

=====

# Ce2Th4In3
Simulated PXRD pattern, Cu Kα (λ = 1.5418 Å). Input: the PBE geometry in Alexandria.

Most intense lines, 10° ≤ 2θ ≤ 90°, by angle:
2θ = 29.59°, I 12; 2θ = 30.82°, I 28; 2θ = 31.76°, I 44; 2θ = 33.65°, I 100; 2θ = 33.75°, I 33; 2θ = 34.78°, I 28; 2θ = 54.04°, I 15; 2θ = 57.81°, I 14

Structure:
Cell: 6.661 8.884 9.026 Å, 99.09 96.38 96.02°
Fractional coordinates of all 18 atoms:
Ce  0.028  0.130  0.274
Ce  0.245  0.461  0.492
Ce  0.755  0.539  0.508
Ce  0.972  0.870  0.726
Th  0.090  0.534  0.834
Th  0.312  0.872  0.064
Th  0.348  0.130  0.602
Th  0.421  0.531  0.175
Th  0.579  0.469  0.825
Th  0.652  0.870  0.398
Th  0.688  0.128  0.936
Th  0.910  0.466  0.166
In  0.137  0.791  0.386
In  0.199  0.206  0.951
In  0.458  0.793  0.712
In  0.542  0.207  0.288
In  0.801  0.794  0.049
In  0.863  0.209  0.614